(1)
Structure and calculated powder diffractogram of Li5YHg6 (DFT lattice parameters and positions (PBE); λ = 1.5418 Å (Cu Kα)).
Intensities are scaled so that the largest is 100.

```
data_Li5YHg6
_cell_length_a 4.840
_cell_length_b 6.891
_cell_length_c 7.611
_cell_angle_alpha 90.00
_cell_angle_beta 108.17
_cell_angle_gamma 90.00
_space_group_name_H-M_alt 'P 1 2/m 1'
_space_group_IT_number 10
loop_
_space_group_symop_operation_xyz
'x,y,z'
'-x,-y,-z'
'-x,y,-z'
'x,-y,z'
loop_
_atom_site_label
_atom_site_type_symbol
_atom_site_fract_x
_atom_site_fract_y
_atom_site_fract_z
_atom_site_occupancy
Li1 Li 0.000 0.000 0.000 1
Li2 Li 0.331 0.500 0.658 1
Li3 Li 0.338 0.000 0.678 1
Y1 Y 0.000 0.500 0.000 1
Hg1 Hg 0.173 0.233 0.346 1
Hg2 Hg 0.500 0.228 0.000 1
```

Main lines, in order of falling intensity (10° ≤ 2θ ≤ 90°):
hkl, 2θ/deg, intensity
2 0 -1, 37.14, 100
1 2 1, 37.00, 66
1 0 1, 26.00, 58
1 0 -2, 26.18, 57
0 2 0, 25.86, 55
0 0 3, 37.31, 33
2 2 -1, 45.82, 25
0 2 3, 45.95, 24
3 2 -3, 67.02, 23
3 2 0, 66.77, 22


(2)
Structure and calculated powder diffractogram of LiYHg5 (DFT lattice parameters and positions (PBE); λ = 1.5418 Å (Cu Kα)).
Intensities are scaled so that the largest is 100.

```
data_LiYHg5
_cell_length_a 6.748
_cell_length_b 8.185
_cell_length_c 6.486
_cell_angle_alpha 90.00
_cell_angle_beta 90.00
_cell_angle_gamma 90.00
_space_group_name_H-M_alt 'C m m m'
_space_group_IT_number 65
_space_group_name_Hall '-C 2 2'
loop_
_atom_site_label
_atom_site_type_symbol
_atom_site_fract_x
_atom_site_fract_y
_atom_site_fract_z
_atom_site_occupancy
Li1 Li 0.000 0.000 0.000 1
Y1 Y 0.000 0.500 0.500 1
Hg1 Hg 0.000 0.500 0.000 1
Hg2 Hg 0.250 0.250 0.253 1
```

Main lines, in order of falling intensity (10° ≤ 2θ ≤ 90°):
hkl, 2θ/deg, intensity
2 2 0, 34.45, 100
0 2 2, 35.31, 94
2 0 2, 38.50, 74
2 4 2, 60.09, 41
1 1 0, 17.03, 38
0 2 0, 21.72, 33
4 2 2, 66.52, 30
2 2 4, 68.12, 28
0 4 0, 44.27, 25
2 2 2, 44.63, 21


(3)
Structure and calculated powder diffractogram of LiYHg4 (DFT lattice parameters and positions (PBE); λ = 1.5418 Å (Cu Kα)).
Intensities are scaled so that the largest is 100.

```
data_LiYHg4
_cell_length_a 3.885
_cell_length_b 5.452
_cell_length_c 7.457
_cell_angle_alpha 70.55
_cell_angle_beta 89.79
_cell_angle_gamma 69.14
_space_group_name_H-M_alt 'P -1'
_space_group_IT_number 2
loop_
_space_group_symop_operation_xyz
'x,y,z'
'-x,-y,-z'
loop_
_atom_site_label
_atom_site_type_symbol
_atom_site_fract_x
_atom_site_fract_y
_atom_site_fract_z
_atom_site_occupancy
Li1 Li 0.000 0.000 0.000 1
Y1 Y 0.000 0.000 0.500 1
Hg1 Hg 0.334 0.328 0.685 1
Hg2 Hg 0.337 0.327 0.154 1
```

Main lines, in order of falling intensity (10° ≤ 2θ ≤ 90°):
hkl, 2θ/deg, intensity
1 2 0, 36.55, 100
1 1 2, 33.25, 59
1 0 -2, 33.37, 59
0 1 -2, 36.97, 45
0 2 2, 37.41, 43
1 1 0, 24.75, 32
2 1 0, 46.77, 24
0 1 0, 18.63, 23
2 3 2, 61.36, 21
0 1 4, 48.86, 18


(4)
Structure and calculated powder diffractogram of Li2ZnHg (DFT lattice parameters and positions (PBE); λ = 1.5418 Å (Cu Kα)).
Intensities are scaled so that the largest is 100.

```
data_Li2ZnHg
_cell_length_a 3.347
_cell_length_b 3.347
_cell_length_c 6.227
_cell_angle_alpha 90.00
_cell_angle_beta 90.00
_cell_angle_gamma 90.00
_space_group_name_H-M_alt 'P 4 m m'
_space_group_IT_number 99
loop_
_space_group_symop_operation_xyz
'x,y,z'
'-y,x,z'
'-x,-y,z'
'y,-x,z'
'-x,y,z'
'y,x,z'
'x,-y,z'
'-y,-x,z'
loop_
_atom_site_label
_atom_site_type_symbol
_atom_site_fract_x
_atom_site_fract_y
_atom_site_fract_z
_atom_site_occupancy
Li1 Li 0.000 0.000 0.000 1
Li2 Li 0.500 0.500 0.265 1
Zn1 Zn 0.000 0.000 0.477 1
Hg1 Hg 0.500 0.500 0.765 1
```

Main lines, in order of falling intensity (10° ≤ 2θ ≤ 90°):
hkl, 2θ/deg, intensity
0 0 1, 14.22, 100
1 0 1, 30.32, 95
1 0 2, 39.53, 73
1 1 0, 38.02, 43
1 1 1, 40.79, 32
2 1 2, 69.71, 27
2 1 1, 63.97, 23
1 0 0, 26.63, 22
1 1 3, 59.21, 18
2 0 0, 54.86, 15


(5)
Structure and calculated powder diffractogram of LiZn3Hg3 (DFT lattice parameters and positions (PBE); λ = 1.5418 Å (Cu Kα)).
Intensities are scaled so that the largest is 100.

```
data_LiZn3Hg3
_cell_length_a 7.456
_cell_length_b 7.456
_cell_length_c 7.456
_cell_angle_alpha 90.00
_cell_angle_beta 90.00
_cell_angle_gamma 90.00
_space_group_name_H-M_alt 'P m -3 n'
_space_group_IT_number 223
_space_group_name_Hall '-P 4n 2 3'
loop_
_atom_site_label
_atom_site_type_symbol
_atom_site_fract_x
_atom_site_fract_y
_atom_site_fract_z
_atom_site_occupancy
Li1 Li 0.000 0.000 0.000 1
Zn1 Zn 0.000 0.250 0.500 1
Hg1 Hg 0.000 0.500 0.250 1
```

Main lines, in order of falling intensity (10° ≤ 2θ ≤ 90°):
hkl, 2θ/deg, intensity
1 1 0, 16.82, 100
2 2 2, 41.97, 64
2 1 0, 26.73, 62
2 1 1, 29.34, 58
3 2 1, 45.52, 35
4 0 0, 48.86, 32
3 1 0, 38.17, 27
6 2 2, 86.60, 25
2 0 0, 23.87, 24
4 4 0, 71.59, 20


(6)
Structure and calculated powder diffractogram of Li5ZnHg2 (DFT lattice parameters and positions (PBE); λ = 1.5418 Å (Cu Kα)).
Intensities are scaled so that the largest is 100.

```
data_Li5ZnHg2
_cell_length_a 4.5982
_cell_length_b 4.5982
_cell_length_c 17.7272
_cell_angle_alpha 90.00
_cell_angle_beta 90.00
_cell_angle_gamma 120.00
_space_group_name_H-M_alt 'P 63/m m c'
_space_group_IT_number 194
_space_group_name_Hall '-P 6c 2c'
loop_
_atom_site_label
_atom_site_type_symbol
_atom_site_fract_x
_atom_site_fract_y
_atom_site_fract_z
_atom_site_occupancy
Li1 Li 0.0000 0.0000 0.1644 1
Li2 Li 0.3333 0.6667 0.0528 1
Li3 Li 0.3333 0.6667 0.2500 1
Zn1 Zn 0.3333 0.6667 0.7500 1
Hg1 Hg 0.3333 0.6667 0.6027 1
```

Main lines, in order of falling intensity (10° ≤ 2θ ≤ 90°):
hkl, 2θ/deg, intensity
1 0 1, 22.89, 100
1 0 3, 27.00, 64
1 0 7, 42.29, 49
1 1 0, 39.18, 46
1 0 0, 22.32, 42
0 0 6, 30.22, 28
1 1 6, 50.28, 27
0 0 4, 20.04, 23
2 1 7, 73.14, 20
1 1 4, 44.39, 19


(7)
Structure and calculated powder diffractogram of Li6Zn3Hg2 (DFT lattice parameters and positions (PBE); λ = 1.5418 Å (Cu Kα)).
Intensities are scaled so that the largest is 100.

```
data_Li6Zn3Hg2
_cell_length_a 7.045
_cell_length_b 2.895
_cell_length_c 9.254
_cell_angle_alpha 90.00
_cell_angle_beta 98.35
_cell_angle_gamma 90.00
_space_group_name_H-M_alt 'P 1 2/m 1'
_space_group_IT_number 10
loop_
_space_group_symop_operation_xyz
'x,y,z'
'-x,-y,-z'
'-x,y,-z'
'x,-y,z'
loop_
_atom_site_label
_atom_site_type_symbol
_atom_site_fract_x
_atom_site_fract_y
_atom_site_fract_z
_atom_site_occupancy
Li1 Li 0.047 0.000 0.300 1
Li2 Li 0.348 0.000 0.863 1
Li3 Li 0.433 0.000 0.357 1
Zn1 Zn 0.000 0.000 0.000 1
Zn2 Zn 0.299 0.500 0.115 1
Hg1 Hg 0.227 0.500 0.561 1
```

Main lines, in order of falling intensity (10° ≤ 2θ ≤ 90°):
hkl, 2θ/deg, intensity
1 0 -2, 21.62, 100
0 0 2, 19.39, 69
2 1 0, 40.51, 56
2 0 0, 25.56, 47
2 0 1, 28.70, 36
1 1 2, 39.99, 35
0 1 1, 32.44, 33
0 1 0, 30.89, 33
1 1 -2, 38.02, 30
1 0 -4, 39.62, 28


(8)
Structure and calculated powder diffractogram of Li12Zn3Hg (DFT lattice parameters and positions (PBE); λ = 1.5418 Å (Cu Kα)).
Intensities are scaled so that the largest is 100.

```
data_Li12Zn3Hg
_cell_length_a 4.158
_cell_length_b 4.158
_cell_length_c 15.668
_cell_angle_alpha 90.00
_cell_angle_beta 90.00
_cell_angle_gamma 90.00
_space_group_name_H-M_alt 'P 4/m m m'
_space_group_IT_number 123
_space_group_name_Hall '-P 4 2'
loop_
_atom_site_label
_atom_site_type_symbol
_atom_site_fract_x
_atom_site_fract_y
_atom_site_fract_z
_atom_site_occupancy
Li1 Li 0.000 0.000 0.000 1
Li2 Li 0.000 0.000 0.246 1
Li3 Li 0.000 0.000 0.500 1
Li4 Li 0.000 0.500 0.123 1
Li5 Li 0.000 0.500 0.371 1
Zn1 Zn 0.500 0.500 0.000 1
Zn2 Zn 0.500 0.500 0.246 1
Hg1 Hg 0.500 0.500 0.500 1
```

Main lines, in order of falling intensity (10° ≤ 2θ ≤ 90°):
hkl, 2θ/deg, intensity
1 0 0, 21.37, 100
1 0 4, 31.37, 78
1 1 4, 38.27, 66
0 0 4, 22.70, 43
1 1 0, 30.40, 42
2 1 4, 54.63, 32
2 0 0, 43.53, 23
3 1 4, 76.42, 22
2 1 0, 48.98, 22
2 0 4, 49.64, 21


(9)
Structure and calculated powder diffractogram of Li4ZnHg (DFT lattice parameters and positions (PBE); λ = 1.5418 Å (Cu Kα)).
Intensities are scaled so that the largest is 100.

```
data_Li4ZnHg
_cell_length_a 4.674
_cell_length_b 16.073
_cell_length_c 5.352
_cell_angle_alpha 90.00
_cell_angle_beta 90.00
_cell_angle_gamma 90.00
_space_group_name_H-M_alt 'C m c 21'
_space_group_IT_number 36
loop_
_space_group_symop_operation_xyz
'x,y,z'
'-x,-y,z+1/2'
'-x,y,z'
'x,-y,z+1/2'
'x+1/2,y+1/2,z'
'-x+1/2,-y+1/2,z+1/2'
'-x+1/2,y+1/2,z'
'x+1/2,-y+1/2,z+1/2'
loop_
_atom_site_label
_atom_site_type_symbol
_atom_site_fract_x
_atom_site_fract_y
_atom_site_fract_z
_atom_site_occupancy
Li1 Li 0.000 0.040 0.000 1
Li2 Li 0.000 0.193 0.111 1
Li3 Li 0.000 0.287 0.768 1
Li4 Li 0.000 0.452 0.833 1
Zn1 Zn 0.000 0.129 0.550 1
Hg1 Hg 0.000 0.364 0.318 1
```

Main lines, in order of falling intensity (10° ≤ 2θ ≤ 90°):
hkl, 2θ/deg, intensity
0 2 1, 19.93, 100
1 1 1, 25.91, 71
0 4 0, 22.12, 67
1 5 1, 37.90, 45
1 3 2, 42.42, 38
1 1 2, 39.19, 35
2 2 1, 43.74, 28
1 3 1, 30.38, 27
0 6 1, 37.55, 22
2 0 0, 38.52, 22


(10)
Structure and calculated powder diffractogram of LiZr5Hg6 (DFT lattice parameters and positions (PBE); λ = 1.5418 Å (Cu Kα)).
Intensities are scaled so that the largest is 100.

```
data_LiZr5Hg6
_cell_length_a 4.834
_cell_length_b 7.406
_cell_length_c 14.164
_cell_angle_alpha 90.00
_cell_angle_beta 90.00
_cell_angle_gamma 90.00
_space_group_name_H-M_alt 'I m m m'
_space_group_IT_number 71
_space_group_name_Hall '-I 2 2'
loop_
_atom_site_label
_atom_site_type_symbol
_atom_site_fract_x
_atom_site_fract_y
_atom_site_fract_z
_atom_site_occupancy
Li1 Li 0.000 0.000 0.000 1
Zr1 Zr 0.000 0.000 0.348 1
Zr2 Zr 0.000 0.500 0.000 1
Zr3 Zr 0.000 0.500 0.316 1
Hg1 Hg 0.000 0.229 0.160 1
Hg2 Hg 0.000 0.290 0.500 1
```

Main lines, in order of falling intensity (10° ≤ 2θ ≤ 90°):
hkl, 2θ/deg, intensity
1 2 3, 35.99, 100
2 0 0, 37.20, 26
1 0 3, 26.39, 24
0 0 6, 38.12, 22
3 2 3, 66.29, 17
2 0 6, 54.32, 16
1 2 9, 67.50, 15
0 2 0, 24.03, 11
1 5 4, 71.82, 9
0 4 0, 49.21, 8


(11)
Structure and calculated powder diffractogram of Lu5Hg (DFT lattice parameters and positions (PBE); λ = 1.5418 Å (Cu Kα)).
Intensities are scaled so that the largest is 100.

```
data_Lu5Hg
_cell_length_a 4.720
_cell_length_b 14.684
_cell_length_c 4.715
_cell_angle_alpha 90.00
_cell_angle_beta 90.00
_cell_angle_gamma 90.00
_space_group_name_H-M_alt 'C m m m'
_space_group_IT_number 65
_space_group_name_Hall '-C 2 2'
loop_
_atom_site_label
_atom_site_type_symbol
_atom_site_fract_x
_atom_site_fract_y
_atom_site_fract_z
_atom_site_occupancy
Lu1 Lu 0.000 0.000 0.000 1
Lu2 Lu 0.000 0.163 0.500 1
Lu3 Lu 0.000 0.332 0.000 1
Hg1 Hg 0.000 0.500 0.500 1
```

Main lines, in order of falling intensity (10° ≤ 2θ ≤ 90°):
hkl, 2θ/deg, intensity
1 3 1, 32.48, 100
2 0 0, 38.15, 33
3 3 1, 65.40, 27
2 6 0, 53.99, 24
0 6 0, 36.72, 18
1 9 1, 63.47, 15
3 9 1, 88.89, 12
2 6 2, 68.02, 12
2 0 2, 55.06, 11
0 12 0, 78.10, 2


(12)
Structure and calculated powder diffractogram of PmLuHgPt (DFT lattice parameters and positions (PBE); λ = 1.5418 Å (Cu Kα)).
Intensities are scaled so that the largest is 100.

```
data_PmLuHgPt
_cell_length_a 7.230
_cell_length_b 7.230
_cell_length_c 7.230
_cell_angle_alpha 90.00
_cell_angle_beta 90.00
_cell_angle_gamma 90.00
_space_group_name_H-M_alt 'F -4 3 m'
_space_group_IT_number 216
_space_group_name_Hall 'F -4 2 3'
loop_
_atom_site_label
_atom_site_type_symbol
_atom_site_fract_x
_atom_site_fract_y
_atom_site_fract_z
_atom_site_occupancy
Pm1 Pm 0.000 0.000 0.000 1
Lu1 Lu 0.000 0.000 0.500 1
Hg1 Hg 0.250 0.250 0.750 1
Pt1 Pt 0.250 0.250 0.250 1
```

Main lines, in order of falling intensity (10° ≤ 2θ ≤ 90°):
hkl, 2θ/deg, intensity
2 2 0, 35.11, 100
4 2 2, 62.98, 37
4 0 0, 50.49, 18
6 2 0, 84.81, 17
4 4 0, 74.19, 12
2 0 0, 24.63, 1
4 2 0, 56.96, 1